1.
For Mg8ZnSe4, a GGA-PBE-relaxed structure gives the calculated powder X-ray diffraction pattern in this record (λ = 1.5418 Å (Cu Kα)).

```
Mg8ZnSe4
1.0
-6.5476 6.5476 1.9901
6.5476 -6.5476 1.9901
6.5476 6.5476 -1.9901
Mg Zn Se
8 1 4
Cartesian
8.0897 0.8095 0.0000
4.1154 4.0481 0.0000
2.4995 -2.4322 1.9901
0.8095 5.0055 0.0000
5.7380 1.5421 1.9901
4.0481 8.9798 0.0000
2.4322 2.4995 1.9901
-1.5421 5.7380 1.9901
0.0000 0.0000 0.0000
6.5962 3.1157 0.0000
3.1157 6.4989 0.0000
3.4319 0.0487 1.9901
-0.0487 3.4319 1.9901
```

Largest 10 diffraction maxima, by angle, 15 to 90 degrees two-theta:
2θ (°)	intensity
19.2	31
27.1	100
27.2	44
28.9	22
33.4	25
38.9	21
43.6	64
43.7	19
45.6	17
48.0	15

---

2.
For MgZnSe, a GGA-PBE-relaxed structure gives the calculated powder X-ray diffraction pattern in this record (λ = 1.5418 Å (Cu Kα)).

```
MgZnSe
1.0
6.4076 0.0000 0.0000
0.0000 11.1671 0.0000
0.0000 0.0000 3.6912
Mg Zn Se
4 4 4
Cartesian
0.3372 2.7174 0.0000
2.8666 8.3010 0.0000
3.5410 2.8662 0.0000
6.0705 8.4497 0.0000
1.2965 10.8149 0.0000
1.9074 5.2313 0.0000
4.5003 5.9358 0.0000
5.1112 0.3522 0.0000
1.2009 7.1507 1.8456
2.0029 1.5672 1.8456
4.4048 9.6000 1.8456
5.2067 4.0164 1.8456
```

Largest 10 diffraction maxima, by angle, 15 to 90 degrees two-theta:
2θ (°)	intensity
21.1	28
27.8	28
29.0	44
32.2	100
35.1	21
40.5	51
40.6	33
49.4	20
50.0	25
51.1	17

---

3.
For Mg4ZnSe2, a GGA-PBE-relaxed structure gives the calculated powder X-ray diffraction pattern in this record (λ = 1.5418 Å (Cu Kα)).

```
Mg4ZnSe2
1.0
-3.6895 3.6895 5.8518
3.6895 -3.6895 5.8518
3.6895 3.6895 -5.8518
Mg Zn Se
8 2 4
Cartesian
4.7859 1.0965 -1.6902
1.0965 2.5930 -1.6902
4.7859 1.0965 1.6902
1.0965 2.5930 1.6902
2.5930 1.0965 4.1615
-1.0965 2.5930 4.1615
2.5930 1.0965 7.5420
-1.0965 2.5930 7.5420
0.0000 0.0000 2.9259
0.0000 0.0000 8.7776
2.5137 1.1758 0.0000
2.5137 -1.1758 5.8518
1.1758 4.8653 0.0000
1.1758 2.5137 5.8518
```

Largest 10 diffraction maxima, by angle, 15 to 90 degrees two-theta:
2θ (°)	intensity
22.8	50
28.1	27
28.6	41
35.6	100
38.6	49
47.6	21
50.0	21
55.1	16
56.6	14
73.2	16

---

4.
For Mg3Zn7Se2, a GGA-PBE-relaxed structure gives the calculated powder X-ray diffraction pattern in this record (λ = 1.5418 Å (Cu Kα)).

```
Mg3Zn7Se2
1.0
2.5370 1.4647 10.8261
-2.5370 1.4647 10.8261
0.0000 -2.9294 10.8261
Mg Zn Se
3 7 2
Cartesian
0.0000 0.0000 0.0000
0.0000 0.0000 4.6607
0.0000 0.0000 27.8175
-1.2964 -0.7485 14.0782
0.0000 -1.4969 18.4000
-1.2964 0.7485 18.4000
0.0000 0.0000 16.2391
1.2964 -0.7485 14.0782
0.0000 1.4969 14.0782
1.2964 0.7485 18.4000
0.0000 0.0000 11.8372
0.0000 0.0000 20.6410
```

Largest 10 diffraction maxima, by angle, 15 to 90 degrees two-theta:
2θ (°)	intensity
20.4	100
24.5	31
30.0	41
39.2	68
41.7	36
42.6	57
43.5	46
44.1	38
47.0	34
69.6	32

---

5.
For Mg4Zn8Se, a GGA-PBE-relaxed structure gives the calculated powder X-ray diffraction pattern in this record (λ = 1.5418 Å (Cu Kα)).

```
Mg4Zn8Se
1.0
-5.9088 5.9088 1.6655
5.9088 -5.9088 1.6655
5.9088 5.9088 -1.6655
Mg Zn Se
4 8 1
Cartesian
9.5891 0.6182 0.0000
0.6182 2.2286 0.0000
5.2906 3.6803 1.6655
-3.6803 5.2906 1.6655
6.0731 1.5147 0.0000
3.4681 2.0639 0.0000
3.8449 -2.4408 1.6655
1.5147 5.7445 0.0000
4.3941 0.1643 1.6655
2.0639 8.3496 0.0000
2.4408 3.8449 1.6655
-0.1643 4.3941 1.6655
0.0000 0.0000 1.6655
```

Largest 10 diffraction maxima, by angle, 15 to 90 degrees two-theta:
2θ (°)	intensity
21.3	21
23.8	30
31.8	24
35.3	73
38.5	33
41.6	100
44.7	71
47.1	31
55.1	19
73.6	30

---

6.
For MgZn3Se2, a GGA-PBE-relaxed structure gives the calculated powder X-ray diffraction pattern in this record (λ = 1.5418 Å (Cu Kα)).

```
MgZn3Se2
1.0
4.4442 -3.8039 0.0000
4.4442 3.8039 0.0000
0.0000 0.0000 7.2632
Mg Zn Se
2 6 4
Cartesian
4.4442 3.2481 5.4474
4.4442 -3.2481 1.8158
3.1389 1.7355 1.8158
5.7495 1.7355 1.8158
4.4442 0.5966 5.4474
4.4442 -0.5966 1.8158
3.1389 -1.7355 5.4474
5.7495 -1.7355 5.4474
1.9555 0.0000 0.0000
1.9555 0.0000 3.6316
6.9328 0.0000 0.0000
6.9328 0.0000 3.6316
```

Largest 10 diffraction maxima, by angle, 15 to 90 degrees two-theta:
2θ (°)	intensity
29.0	27
31.8	69
34.1	78
34.8	80
39.0	57
39.9	100
47.4	43
50.1	27
50.2	35
71.5	24